No. 1
This entry pairs a crystal structure of Sr5Ca3Si4 with its theoretical powder X-ray diffraction pattern. Radiation: Cu Kα. Structure: DFT lattice parameters and positions (PBE).
Kinematic intensities with the Lorentz-polarization factor, no thermal factor.

Most intense lines, 2θ from 10° to 80°, most intense first:
| d_spacing | Position (°2θ) | Rel. int. | index |
| --- | --- | --- | --- |
| 3.140 | 28.42 | 100 | 1 1 -2 |
| 3.118 | 28.63 | 77 | 1 1 2 |
| 2.986 | 29.93 | 76 | 2 1 -1 |
| 2.488 | 36.10 | 61 | 0 2 0 |
| 2.968 | 30.11 | 57 | 2 1 1 |
| 2.624 | 34.18 | 43 | 0 1 3 |

Structural model:
```
data_Sr5Ca3Si4
_chemical_formula_sum 'Sr5 Ca3 Si4'
_symmetry_space_group_name_H-M 'P 1 m 1'
_symmetry_Int_Tables_number 6
_cell_length_a 8.111
_cell_length_b 4.977
_cell_length_c 9.264
_cell_angle_alpha 90.00
_cell_angle_beta 90.72
_cell_angle_gamma 90.00
loop_
_symmetry_equiv_pos_as_xyz
'x,y,z'
'x,-y,z'
loop_
_atom_site_label
_atom_site_type_symbol
_atom_site_fract_x
_atom_site_fract_y
_atom_site_fract_z
Sr1 Sr 0.000 0.000 0.000
Sr2 Sr 0.035 0.500 0.639
Sr3 Sr 0.489 0.000 0.152
Sr4 Sr 0.540 0.500 0.501
Sr5 Sr 0.667 0.500 0.901
Ca1 Ca 0.160 0.500 0.251
Ca2 Ca 0.364 0.000 0.747
Ca3 Ca 0.869 0.000 0.395
Si1 Si 0.249 0.000 0.428
Si2 Si 0.272 0.500 0.930
Si3 Si 0.749 0.000 0.708
Si4 Si 0.783 0.500 0.227
```

***

No. 2
This entry pairs a crystal structure of Li7LaMg5 with its theoretical powder X-ray diffraction pattern. Radiation: Cu Kα. Structure: DFT lattice parameters and positions (PBE).
Kinematic intensities with the Lorentz-polarization factor, no thermal factor.

Most intense lines, 2θ from 10° to 80°, most intense first:
| d_spacing | Position (°2θ) | Rel. int. | index |
| --- | --- | --- | --- |
| 7.138 | 12.40 | 100 | 0 1 1 |
| 3.572 | 24.93 | 95 | 0 2 2 |
| 2.544 | 35.28 | 51 | 2 0 2 |
| 5.093 | 17.41 | 39 | 1 0 1 |
| 3.608 | 24.68 | 38 | 1 2 1 |
| 5.124 | 17.31 | 34 | 1 1 0 |

Structural model:
```
data_Li7LaMg5
_chemical_formula_sum 'Li14 La2 Mg10'
_symmetry_space_group_name_H-M 'I m m 2'
_symmetry_Int_Tables_number 44
_cell_length_a 5.924
_cell_length_b 10.222
_cell_length_c 9.972
_cell_angle_alpha 90.00
_cell_angle_beta 90.00
_cell_angle_gamma 90.00
loop_
_symmetry_equiv_pos_as_xyz
'x,y,z'
'-x,-y,z'
'-x,y,z'
'x,-y,z'
'x+1/2,y+1/2,z+1/2'
'-x+1/2,-y+1/2,z+1/2'
'-x+1/2,y+1/2,z+1/2'
'x+1/2,-y+1/2,z+1/2'
loop_
_atom_site_label
_atom_site_type_symbol
_atom_site_fract_x
_atom_site_fract_y
_atom_site_fract_z
Li1 Li 0.000 0.000 0.000
Li2 Li 0.000 0.000 0.296
Li3 Li 0.000 0.279 0.144
Li4 Li 0.000 0.357 0.646
Li5 Li 0.000 0.500 0.351
La1 La 0.000 0.000 0.646
Mg1 Mg 0.000 0.500 0.943
Mg2 Mg 0.249 0.255 0.394
```